Record 1
For Na4Mn2PC4O16, a cell relaxed with GGA+U gives the theoretical powder XRD pattern in this record (Cu Kα, 1.54184 Å).

Peak list (10 most intense, 10° ≤ 2θ ≤ 90°, in order of rising 2θ)
2θ = 10.89°, intensity 100; 2θ = 17.58°, intensity 42; 2θ = 18.01°, intensity 40; 2θ = 20.64°, intensity 55; 2θ = 20.82°, intensity 87; 2θ = 21.36°, intensity 44; 2θ = 32.49°, intensity 67; 2θ = 32.84°, intensity 40; 2θ = 33.91°, intensity 50; 2θ = 35.60°, intensity 34

Atomic structure:
```
Na4Mn2PC4O16
1.0
0.0000 7.0925 7.1748
6.8474 0.0000 7.1748
6.8474 7.0925 0.0000
Na Mn P C O
8 4 2 8 32
direct
0.0803 0.0803 0.6697
0.0862 0.6638 0.6638
0.3303 0.3303 0.9197
0.3362 0.9138 0.9138
0.6638 0.0862 0.0862
0.6697 0.6697 0.0803
0.9138 0.3362 0.3362
0.9197 0.9197 0.3303
0.0000 0.5000 0.5000
0.5000 0.0000 0.5000
0.5000 0.5000 0.0000
0.5000 0.5000 0.5000
0.1250 0.1250 0.1250
0.8750 0.8750 0.8750
0.2762 0.2867 0.6424
0.2867 0.2762 0.2948
0.2948 0.6424 0.2867
0.3576 0.7052 0.7238
0.6424 0.2948 0.2762
0.7052 0.3576 0.7133
0.7133 0.7238 0.7052
0.7238 0.7133 0.3576
0.0577 0.0661 0.3158
0.0603 0.3158 0.0661
0.0661 0.0577 0.0603
0.1391 0.3899 0.3215
0.1403 0.3137 0.6325
0.1523 0.6517 0.3974
0.2986 0.3974 0.6517
0.3137 0.1403 0.4135
0.3158 0.0603 0.0577
0.3215 0.6495 0.1391
0.3483 0.8477 0.7014
0.3505 0.6785 0.6101
0.3675 0.5865 0.8597
0.3899 0.1391 0.6495
0.3974 0.2986 0.1523
0.4135 0.6325 0.3137
0.5865 0.3675 0.6863
0.6026 0.7014 0.8477
0.6101 0.8609 0.3505
0.6325 0.4135 0.1403
0.6495 0.3215 0.3899
0.6517 0.1523 0.2986
0.6785 0.3505 0.8609
0.6842 0.9397 0.9423
0.6863 0.8597 0.5865
0.7014 0.6026 0.3483
0.8477 0.3483 0.6026
0.8597 0.6863 0.3675
0.8609 0.6101 0.6785
0.9339 0.9423 0.9397
0.9397 0.6842 0.9339
0.9423 0.9339 0.6842
```

=====

Record 2
For Na5Mn2P2C2O14, a cell relaxed with GGA+U gives the theoretical powder XRD pattern in this record (Cu Kα, 1.54184 Å).

Peak list (10 most intense, 10° ≤ 2θ ≤ 90°, in order of rising 2θ)
2θ = 16.26°, intensity 35; 2θ = 19.68°, intensity 21; 2θ = 26.03°, intensity 100; 2θ = 32.84°, intensity 83; 2θ = 32.93°, intensity 29; 2θ = 34.36°, intensity 22; 2θ = 34.57°, intensity 53; 2θ = 37.15°, intensity 19; 2θ = 48.39°, intensity 29; 2θ = 53.51°, intensity 38

Atomic structure:
```
Na5Mn2P2C2O14
1.0
5.1889 0.0000 0.0000
0.0000 6.8503 0.0000
-0.0920 0.0000 9.0045
Na Mn P C O
5 2 2 2 14
direct
0.0000 0.0000 0.0000
0.0032 0.2559 0.6724
0.0032 0.7441 0.6724
0.5149 0.2417 0.1753
0.5149 0.7583 0.1753
0.5364 0.0000 0.5587
0.9767 0.5000 0.2751
0.0562 0.0000 0.3332
0.4693 0.5000 0.5005
0.0376 0.5000 0.0001
0.4931 0.0000 0.8569
0.0506 0.5000 0.8615
0.1664 0.5000 0.4654
0.2355 0.5000 0.0922
0.2878 0.0000 0.7725
0.3562 0.0000 0.3461
0.4729 0.0000 0.0001
0.5360 0.3146 0.5881
0.5360 0.6854 0.5881
0.6057 0.5000 0.3458
0.7191 0.0000 0.7950
0.8152 0.5000 0.0717
0.9397 0.0000 0.4907
0.9701 0.1821 0.2406
0.9701 0.8179 0.2406
```

=====

Record 3
For Na5Mn2P2C2O14, a cell relaxed with GGA+U gives the theoretical powder XRD pattern in this record (Cu Kα, 1.54184 Å).

Peak list (10 most intense, 10° ≤ 2θ ≤ 90°, in order of rising 2θ)
2θ = 19.53°, intensity 52; 2θ = 25.93°, intensity 53; 2θ = 26.77°, intensity 86; 2θ = 32.94°, intensity 30; 2θ = 33.15°, intensity 28; 2θ = 33.51°, intensity 23; 2θ = 33.78°, intensity 25; 2θ = 34.18°, intensity 100; 2θ = 42.13°, intensity 19; 2θ = 55.15°, intensity 28

Atomic structure:
```
Na5Mn2P2C2O14
1.0
6.6639 0.0000 0.0000
-0.2336 9.0801 0.0000
-0.0269 -0.0298 10.4945
Na Mn P C O
10 4 4 4 28
direct
0.0000 0.0000 0.0000
0.0018 0.0001 0.4723
0.2570 0.8223 0.2227
0.2644 0.3399 0.9687
0.2682 0.3371 0.4800
0.2811 0.8479 0.7132
0.5248 0.1585 0.2156
0.7504 0.3394 0.4900
0.7540 0.3404 0.9582
0.7678 0.8418 0.7247
0.0045 0.4443 0.2064
0.0223 0.4514 0.7091
0.5264 0.7343 0.9950
0.5284 0.7324 0.4781
0.0219 0.6651 0.4475
0.0229 0.6719 0.9414
0.5082 0.5015 0.2462
0.5180 0.5150 0.7513
0.0158 0.1504 0.7312
0.0169 0.1531 0.2359
0.5143 0.0218 0.9659
0.5157 0.0197 0.4550
0.9999 0.2241 0.1267
0.0102 0.5186 0.0054
0.0111 0.2378 0.6312
0.0123 0.2090 0.8435
0.0181 0.5134 0.5143
0.0233 0.0109 0.7125
0.0227 0.6394 0.3011
0.0431 0.6506 0.7932
0.0512 0.0154 0.2355
0.2044 0.7675 0.9898
0.2111 0.7610 0.4845
0.3194 0.4027 0.2144
0.3311 0.4188 0.7132
0.5033 0.1618 0.9783
0.5030 0.6517 0.1800
0.5073 0.1609 0.4519
0.5090 0.9413 0.3519
0.5098 0.5394 0.9004
0.5162 0.9510 0.8597
0.5175 0.5266 0.3950
0.5220 0.6647 0.6824
0.5271 0.9426 0.0713
0.5344 0.9478 0.5629
0.6905 0.4090 0.2051
0.7091 0.4259 0.7221
0.8337 0.7655 0.9633
0.8405 0.7586 0.4889
0.9972 0.2278 0.3411
```

=====

Record 4
For Na5Mn2P2C2O14, a cell relaxed with GGA+U gives the theoretical powder XRD pattern in this record (Cu Kα, 1.54184 Å).

Peak list (10 most intense, 10° ≤ 2θ ≤ 90°, in order of rising 2θ)
2θ = 16.50°, intensity 64; 2θ = 25.84°, intensity 64; 2θ = 26.72°, intensity 100; 2θ = 33.26°, intensity 99; 2θ = 33.37°, intensity 76; 2θ = 33.95°, intensity 94; 2θ = 34.13°, intensity 38; 2θ = 41.78°, intensity 50; 2θ = 48.63°, intensity 47; 2θ = 55.05°, intensity 39

Atomic structure:
```
Na5Mn2P2C2O14
1.0
10.4435 0.0000 0.0000
0.0000 6.6732 0.0000
-5.1668 0.0000 9.1496
Na Mn P C O
10 4 4 4 28
direct
0.0916 0.2500 0.1752
0.2606 0.5101 0.0080
0.2606 0.9899 0.0080
0.2640 0.5032 0.5014
0.2640 0.9968 0.5014
0.7360 0.0032 0.4986
0.7360 0.4968 0.4986
0.7394 0.0101 0.9920
0.7394 0.4899 0.9920
0.9084 0.7500 0.8248
0.0418 0.2500 0.6821
0.4628 0.7500 0.8221
0.5372 0.2500 0.1779
0.9582 0.7500 0.3179
0.1131 0.7500 0.6899
0.3908 0.2500 0.8094
0.6092 0.7500 0.1906
0.8869 0.2500 0.3101
0.0716 0.7500 0.1390
0.4115 0.2500 0.3410
0.5885 0.7500 0.6590
0.9284 0.2500 0.8610
0.0291 0.5650 0.7011
0.0291 0.9350 0.7011
0.0717 0.2500 0.9220
0.1270 0.7500 0.5503
0.1337 0.7500 0.0592
0.1469 0.7500 0.2816
0.2349 0.2500 0.6693
0.2731 0.7500 0.8276
0.3277 0.2500 0.3976
0.3483 0.2500 0.1962
0.3739 0.2500 0.9478
0.4472 0.7500 0.5885
0.4766 0.0609 0.8068
0.4766 0.4391 0.8068
0.5234 0.5609 0.1932
0.5234 0.9391 0.1932
0.5528 0.2500 0.4115
0.6261 0.7500 0.0522
0.6517 0.7500 0.8038
0.6723 0.7500 0.6024
0.7269 0.2500 0.1724
0.7651 0.7500 0.3307
0.8531 0.2500 0.7184
0.8663 0.2500 0.9408
0.8730 0.2500 0.4497
0.9283 0.7500 0.0780
0.9709 0.0650 0.2989
0.9709 0.4350 0.2989
```

=====

Record 5
For Na5Mn2P2C2O14, a cell relaxed with GGA+U gives the theoretical powder XRD pattern in this record (Cu Kα, 1.54184 Å).

Peak list (10 most intense, 10° ≤ 2θ ≤ 90°, in order of rising 2θ)
2θ = 16.45°, intensity 40; 2θ = 19.55°, intensity 37; 2θ = 25.90°, intensity 47; 2θ = 26.61°, intensity 79; 2θ = 33.14°, intensity 49; 2θ = 33.27°, intensity 54; 2θ = 33.35°, intensity 31; 2θ = 34.17°, intensity 100; 2θ = 48.60°, intensity 28; 2θ = 54.81°, intensity 29

Atomic structure:
```
Na5Mn2P2C2O14
1.0
5.2454 0.0000 0.0000
0.0394 11.2438 0.0000
0.0636 3.3275 10.8111
Na Mn P C O
10 4 4 4 28
direct
0.2290 0.1093 0.1265
0.2444 0.3678 0.8768
0.2447 0.8808 0.3684
0.2470 0.5874 0.3330
0.2509 0.6269 0.6270
0.7491 0.3731 0.3730
0.7530 0.4126 0.6670
0.7553 0.1192 0.6316
0.7556 0.6322 0.1232
0.7710 0.8907 0.8735
0.2187 0.1919 0.4458
0.2259 0.6990 0.9420
0.7741 0.3010 0.0580
0.7813 0.8081 0.5542
0.2931 0.9131 0.6667
0.3024 0.4187 0.1619
0.6976 0.5813 0.8381
0.7069 0.0869 0.3333
0.2613 0.3454 0.5934
0.2837 0.8360 0.0840
0.7163 0.1640 0.9160
0.7387 0.6546 0.4066
0.0374 0.3191 0.5590
0.0689 0.7958 0.0450
0.1659 0.3455 0.0856
0.1832 0.8348 0.5860
0.1969 0.8585 0.8030
0.2034 0.0495 0.6191
0.2290 0.3777 0.3005
0.2448 0.5614 0.1136
0.2744 0.8975 0.1602
0.2834 0.4148 0.6666
0.3990 0.5985 0.8494
0.4090 0.0943 0.3353
0.4634 0.3030 0.5518
0.4888 0.8020 0.0381
0.5112 0.1980 0.9619
0.5366 0.6970 0.4482
0.5910 0.9057 0.6647
0.6010 0.4015 0.1506
0.7166 0.5852 0.3334
0.7256 0.1025 0.8398
0.7552 0.4386 0.8864
0.7710 0.6223 0.6995
0.7966 0.9505 0.3809
0.8031 0.1415 0.1970
0.8168 0.1652 0.4140
0.8341 0.6545 0.9144
0.9311 0.2042 0.9550
0.9626 0.6809 0.4410
```